[1]
Computed powder X-ray diffraction pattern
Compound: Li3MnCoO5
Radiation: copper Kα
Structure: a GGA+U-relaxed structure
Intensities are scaled so that the largest is 100.

Atomic structure:
```
data_Li3MnCoO5
_symmetry_space_group_name_H-M 'P 1'
_symmetry_Int_Tables_number 1
_cell_length_a 5.023
_cell_length_b 5.109
_cell_length_c 7.727
_cell_angle_alpha 83.89
_cell_angle_beta 71.38
_cell_angle_gamma 71.03
loop_
_symmetry_equiv_pos_as_xyz
'x,y,z'
loop_
_atom_site_label
_atom_site_type_symbol
_atom_site_fract_x
_atom_site_fract_y
_atom_site_fract_z
_atom_site_occupancy
Li1 Li 0.000 0.000 0.000 1
Li2 Li 0.086 0.496 0.811 1
Li3 Li 0.300 0.497 0.400 1
Li4 Li 0.499 0.501 0.994 1
Li5 Li 0.701 0.498 0.602 1
Li6 Li 0.906 0.497 0.187 1
Mn1 Mn 0.403 0.997 0.194 1
Mn2 Mn 0.803 0.997 0.396 1
Co1 Co 0.204 0.988 0.615 1
Co2 Co 0.607 0.009 0.805 1
O1 O 0.061 0.212 0.393 1
O2 O 0.146 0.776 0.213 1
O3 O 0.270 0.232 0.010 1
O4 O 0.352 0.766 0.787 1
O5 O 0.473 0.224 0.586 1
O6 O 0.558 0.775 0.388 1
O7 O 0.643 0.218 0.213 1
O8 O 0.717 0.765 0.009 1
O9 O 0.849 0.236 0.790 1
O10 O 0.937 0.772 0.590 1
```

Principal peaks in the range 2θ = 15–90°, low angle first:
hkl 0 1 0, 2θ = 18.4°, intensity 100
hkl 1 0 0, 2θ = 19.6°, intensity 10
hkl 1 0 -2, 2θ = 35.9°, intensity 13
hkl 1 0 3, 2θ = 36.1°, intensity 12
hkl 2 1 1, 2θ = 36.3°, intensity 14
hkl -1 1 2, 2θ = 43.5°, intensity 30
hkl 1 -1 3, 2θ = 43.7°, intensity 29
hkl 2 2 1, 2θ = 43.9°, intensity 29
hkl 2 -2 1, 2θ = 63.2°, intensity 24
hkl 3 1 -1, 2θ = 63.9°, intensity 8

=====

[2]
Computed powder X-ray diffraction pattern
Compound: Li7Mn2Co3O12
Radiation: copper Kα
Structure: a GGA+U-relaxed structure
Intensities are scaled so that the largest is 100.

Atomic structure:
```
data_Li7Mn2Co3O12
_symmetry_space_group_name_H-M 'P 1'
_symmetry_Int_Tables_number 1
_cell_length_a 5.888
_cell_length_b 5.914
_cell_length_c 6.418
_cell_angle_alpha 103.38
_cell_angle_beta 103.05
_cell_angle_gamma 91.63
loop_
_symmetry_equiv_pos_as_xyz
'x,y,z'
loop_
_atom_site_label
_atom_site_type_symbol
_atom_site_fract_x
_atom_site_fract_y
_atom_site_fract_z
_atom_site_occupancy
Li1 Li 0.000 0.000 0.000 1
Li2 Li 0.006 0.498 0.006 1
Li3 Li 0.168 0.169 0.674 1
Li4 Li 0.313 0.849 0.326 1
Li5 Li 0.505 0.495 0.002 1
Li6 Li 0.684 0.148 0.665 1
Li7 Li 0.840 0.830 0.324 1
Mn1 Mn 0.164 0.672 0.664 1
Mn2 Mn 0.503 0.998 0.005 1
Co1 Co 0.335 0.330 0.332 1
Co2 Co 0.671 0.664 0.668 1
Co3 Co 0.845 0.325 0.334 1
O1 O 0.086 0.119 0.334 1
O2 O 0.094 0.596 0.346 1
O3 O 0.259 0.754 0.981 1
O4 O 0.278 0.233 0.020 1
O5 O 0.402 0.917 0.682 1
O6 O 0.408 0.448 0.652 1
O7 O 0.583 0.060 0.319 1
O8 O 0.603 0.539 0.352 1
O9 O 0.727 0.760 0.978 1
O10 O 0.741 0.235 0.012 1
O11 O 0.919 0.879 0.662 1
O12 O 0.940 0.423 0.659 1
```

Principal peaks in the range 2θ = 15–90°, low angle first:
hkl 0 1 0, 2θ = 15.5°, intensity 9
hkl 0 1 -1, 2θ = 18.5°, intensity 100
hkl -2 1 1, 2θ = 35.5°, intensity 13
hkl 2 1 0, 2θ = 36.3°, intensity 13
hkl 0 1 2, 2θ = 36.8°, intensity 12
hkl 2 -2 0, 2θ = 42.7°, intensity 29
hkl 2 2 -1, 2θ = 44.0°, intensity 26
hkl 0 0 3, 2θ = 44.8°, intensity 25
hkl 4 0 -1, 2θ = 63.2°, intensity 8
hkl -2 2 3, 2θ = 63.8°, intensity 7

=====

[3]
Computed powder X-ray diffraction pattern
Compound: Li7Mn3Co3O16
Radiation: copper Kα
Structure: a GGA+U-relaxed structure
Intensities are scaled so that the largest is 100.

Atomic structure:
```
data_Li7Mn3Co3O16
_symmetry_space_group_name_H-M 'C 1 m 1'
_symmetry_Int_Tables_number 8
_cell_length_a 9.821
_cell_length_b 5.689
_cell_length_c 9.950
_cell_angle_alpha 90.00
_cell_angle_beta 91.20
_cell_angle_gamma 90.00
loop_
_symmetry_equiv_pos_as_xyz
'x,y,z'
'x,-y,z'
'x+1/2,y+1/2,z'
'x+1/2,-y+1/2,z'
loop_
_atom_site_label
_atom_site_type_symbol
_atom_site_fract_x
_atom_site_fract_y
_atom_site_fract_z
_atom_site_occupancy
Li1 Li 0.000 0.000 0.000 1
Li2 Li 0.001 0.000 0.228 1
Li3 Li 0.163 0.500 0.709 1
Li4 Li 0.247 0.244 0.249 1
Li5 Li 0.332 0.000 0.700 1
Li6 Li 0.491 0.500 0.781 1
Mn1 Mn 0.001 0.500 0.998 1
Mn2 Mn 0.076 0.248 0.484 1
Co1 Co 0.250 0.248 0.991 1
Co2 Co 0.322 0.500 0.493 1
O1 O 0.005 0.500 0.588 1
O2 O 0.095 0.256 0.098 1
O3 O 0.148 0.000 0.372 1
O4 O 0.160 0.500 0.382 1
O5 O 0.164 0.500 0.895 1
O6 O 0.175 0.000 0.889 1
O7 O 0.240 0.267 0.590 1
O8 O 0.325 0.500 0.097 1
O9 O 0.332 0.000 0.098 1
O10 O 0.409 0.238 0.890 1
O11 O 0.409 0.290 0.379 1
O12 O 0.496 0.500 0.590 1
```

Principal peaks in the range 2θ = 15–90°, low angle first:
hkl 0 0 2, 2θ = 17.8°, intensity 100
hkl 1 1 -1, 2θ = 20.0°, intensity 15
hkl 1 1 1, 2θ = 20.2°, intensity 12
hkl 2 2 -1, 2θ = 37.6°, intensity 13
hkl 2 2 1, 2θ = 37.7°, intensity 11
hkl 4 0 -2, 2θ = 40.7°, intensity 12
hkl 2 2 -3, 2θ = 45.7°, intensity 13
hkl 2 2 3, 2θ = 46.2°, intensity 14
hkl 2 2 5, 2θ = 60.1°, intensity 9
hkl 6 2 0, 2θ = 65.8°, intensity 11

=====

[4]
Computed powder X-ray diffraction pattern
Compound: LiMnCo3O8
Radiation: copper Kα
Structure: a GGA+U-relaxed structure
Intensities are scaled so that the largest is 100.

Atomic structure:
```
data_LiMnCo3O8
_symmetry_space_group_name_H-M 'P 1'
_symmetry_Int_Tables_number 1
_cell_length_a 5.682
_cell_length_b 5.977
_cell_length_c 9.844
_cell_angle_alpha 73.48
_cell_angle_beta 89.85
_cell_angle_gamma 62.42
loop_
_symmetry_equiv_pos_as_xyz
'x,y,z'
loop_
_atom_site_label
_atom_site_type_symbol
_atom_site_fract_x
_atom_site_fract_y
_atom_site_fract_z
_atom_site_occupancy
Li1 Li 0.000 0.000 0.000 1
Li2 Li 0.493 0.011 0.472 1
Mn1 Mn 0.245 0.509 0.736 1
Mn2 Mn 0.744 0.503 0.241 1
Co1 Co 0.245 0.505 0.239 1
Co2 Co 0.494 0.506 0.988 1
Co3 Co 0.494 0.507 0.488 1
Co4 Co 0.744 0.508 0.737 1
Co5 Co 0.995 0.507 0.988 1
Co6 Co 0.996 0.508 0.487 1
O1 O 0.086 0.312 0.856 1
O2 O 0.094 0.307 0.359 1
O3 O 0.148 0.705 0.875 1
O4 O 0.151 0.691 0.373 1
O5 O 0.336 0.319 0.100 1
O6 O 0.337 0.311 0.604 1
O7 O 0.396 0.701 0.118 1
O8 O 0.404 0.706 0.621 1
O9 O 0.588 0.307 0.357 1
O10 O 0.594 0.311 0.856 1
O11 O 0.651 0.704 0.373 1
O12 O 0.653 0.694 0.873 1
O13 O 0.836 0.323 0.606 1
O14 O 0.841 0.307 0.101 1
O15 O 0.893 0.707 0.619 1
O16 O 0.902 0.701 0.117 1
```

Principal peaks in the range 2θ = 15–90°, low angle first:
hkl 0 1 0, 2θ = 17.7°, intensity 100
hkl 2 1 2, 2θ = 36.9°, intensity 17
hkl 2 1 -2, 2θ = 37.2°, intensity 9
hkl 2 2 2, 2θ = 38.6°, intensity 5
hkl 2 0 2, 2θ = 43.7°, intensity 28
hkl 2 2 -2, 2θ = 44.4°, intensity 14
hkl 0 1 -4, 2θ = 47.9°, intensity 5
hkl 0 3 4, 2θ = 56.5°, intensity 10
hkl 2 4 2, 2θ = 62.4°, intensity 7
hkl 4 2 0, 2θ = 65.8°, intensity 7

=====

[5]
Computed powder X-ray diffraction pattern
Compound: Li4MnCo2O7
Radiation: copper Kα
Structure: a GGA+U-relaxed structure
Intensities are scaled so that the largest is 100.

Atomic structure:
```
data_Li4MnCo2O7
_symmetry_space_group_name_H-M 'P 1'
_symmetry_Int_Tables_number 1
_cell_length_a 4.973
_cell_length_b 5.872
_cell_length_c 8.974
_cell_angle_alpha 89.88
_cell_angle_beta 83.41
_cell_angle_gamma 74.59
loop_
_symmetry_equiv_pos_as_xyz
'x,y,z'
loop_
_atom_site_label
_atom_site_type_symbol
_atom_site_fract_x
_atom_site_fract_y
_atom_site_fract_z
_atom_site_occupancy
Li1 Li 0.000 0.000 0.000 1
Li2 Li 0.015 0.500 0.995 1
Li3 Li 0.149 0.210 0.733 1
Li4 Li 0.278 0.926 0.434 1
Li5 Li 0.421 0.649 0.135 1
Li6 Li 0.585 0.357 0.859 1
Li7 Li 0.710 0.072 0.588 1
Li8 Li 0.859 0.786 0.278 1
Mn1 Mn 0.424 0.145 0.140 1
Mn2 Mn 0.854 0.288 0.283 1
Co1 Co 0.147 0.717 0.724 1
Co2 Co 0.287 0.426 0.431 1
Co3 Co 0.573 0.864 0.868 1
Co4 Co 0.713 0.569 0.578 1
O1 O 0.010 0.717 0.501 1
O2 O 0.132 0.999 0.220 1
O3 O 0.134 0.445 0.212 1
O4 O 0.304 0.690 0.922 1
O5 O 0.307 0.178 0.948 1
O6 O 0.428 0.879 0.647 1
O7 O 0.443 0.400 0.640 1
O8 O 0.560 0.133 0.347 1
O9 O 0.573 0.581 0.363 1
O10 O 0.682 0.852 0.082 1
O11 O 0.703 0.317 0.094 1
O12 O 0.854 0.019 0.789 1
O13 O 0.874 0.543 0.782 1
O14 O 0.999 0.265 0.481 1
```

Principal peaks in the range 2θ = 15–90°, low angle first:
hkl 0 1 -1, 2θ = 18.3°, intensity 100
hkl 1 1 3, 2θ = 35.4°, intensity 15
hkl -1 1 2, 2θ = 35.8°, intensity 14
hkl 2 1 0, 2θ = 36.8°, intensity 12
hkl 1 0 4, 2θ = 42.7°, intensity 29
hkl -1 2 1, 2θ = 43.3°, intensity 28
hkl 2 2 -1, 2θ = 44.7°, intensity 26
hkl 0 2 5, 2θ = 62.4°, intensity 8
hkl 2 -2 3, 2θ = 62.6°, intensity 8
hkl 1 2 -5, 2θ = 63.1°, intensity 7

=====

[6]
Computed powder X-ray diffraction pattern
Compound: Li7Mn2Co3O12
Radiation: copper Kα
Structure: a GGA+U-relaxed structure
Intensities are scaled so that the largest is 100.

Atomic structure:
```
data_Li7Mn2Co3O12
_symmetry_space_group_name_H-M 'P 1'
_symmetry_Int_Tables_number 1
_cell_length_a 5.022
_cell_length_b 5.882
_cell_length_c 7.793
_cell_angle_alpha 78.47
_cell_angle_beta 78.22
_cell_angle_gamma 73.13
loop_
_symmetry_equiv_pos_as_xyz
'x,y,z'
loop_
_atom_site_label
_atom_site_type_symbol
_atom_site_fract_x
_atom_site_fract_y
_atom_site_fract_z
_atom_site_occupancy
Li1 Li 0.000 0.000 0.000 1
Li2 Li 0.000 0.164 0.326 1
Li3 Li 0.006 0.331 0.642 1
Li4 Li 0.007 0.665 0.336 1
Li5 Li 0.491 0.837 0.166 1
Li6 Li 0.493 0.165 0.823 1
Li7 Li 0.518 0.494 0.489 1
Mn1 Mn 0.494 0.330 0.166 1
Mn2 Mn 0.993 0.501 0.997 1
Co1 Co 0.498 0.992 0.487 1
Co2 Co 0.499 0.669 0.823 1
Co3 Co 0.994 0.847 0.649 1
O1 O 0.235 0.523 0.764 1
O2 O 0.237 0.643 0.080 1
O3 O 0.247 0.199 0.074 1
O4 O 0.261 0.979 0.745 1
O5 O 0.262 0.834 0.422 1
O6 O 0.279 0.327 0.396 1
O7 O 0.725 0.023 0.238 1
O8 O 0.737 0.354 0.926 1
O9 O 0.745 0.492 0.221 1
O10 O 0.748 0.806 0.905 1
O11 O 0.750 0.143 0.582 1
O12 O 0.754 0.666 0.581 1
```

Principal peaks in the range 2θ = 15–90°, low angle first:
hkl 0 1 1, 2θ = 18.3°, intensity 100
hkl 1 1 -2, 2θ = 35.8°, intensity 15
hkl 1 -1 2, 2θ = 36.3°, intensity 25
hkl 1 0 -3, 2θ = 43.3°, intensity 30
hkl 2 2 2, 2θ = 43.9°, intensity 28
hkl 1 -2 1, 2θ = 44.0°, intensity 28
hkl -2 1 1, 2θ = 47.8°, intensity 8
hkl 1 2 5, 2θ = 62.9°, intensity 7
hkl -2 2 2, 2θ = 63.2°, intensity 15
hkl 3 2 -1, 2θ = 63.7°, intensity 15